# KFeAsO4
Simulated X-ray diffraction stick pattern, Cu Kα X-rays. Input: a DFT-relaxed cell (GGA+U, Alexandria).
Lines closer than 0.1° are merged.

Structural model:
Unit cell a=5.6059 b=5.9895 c=7.2470 alpha=90.00 beta=105.64 gamma=90.00
Space group P2_1/m (No. 11)
Unique sites:
K1 0.2189 0.2500 0.4459
Fe1 0.3617 0.2500 0.9939
As1 0.2318 0.7500 0.1770
O1 0.0118 0.2500 0.0256
O2 0.1520 0.7500 0.3857
O3 0.4439 0.5354 0.1695

Most intense lines, 10 to 90 degrees two-theta, in order of rising 2θ:
| index | 2θ (°) | d/Å | I_rel |
| --- | --- | --- | --- |
| 0 0 1 | 12.7 | 6.979 | 100 |
| 0 1 1 | 19.5 | 4.545 | 70 |
| 1 0 1 | 23.4 | 3.802 | 94 |
| 0 1 2 | 29.6 | 3.015 | 26 |
| 0 2 0 | 29.8 | 2.995 | 73 |
| 1 1 -2 | 30.4 | 2.940 | 53 |
| 2 1 -1 | 35.6 | 2.523 | 40 |
| 1 1 2 | 37.4 | 2.405 | 43 |
| 2 1 -2 | 39.3 | 2.294 | 28 |
| 2 2 0 | 45.2 | 2.005 | 24 |